The following is a computed PXRD pattern of ZrNp2Ni9. It was derived from DFT lattice parameters and positions (GGA-PBE), using λ = 1.5418 Å (Cu Kα).
Neutral-atom scattering factors, no anomalous dispersion.

Most intense lines, 2θ = 10–90°, low angle first:
10.8 deg, I = 42, hkl 0 0 2
34.9 deg, I = 64, hkl 1 0 5
37.3 deg, I = 48, hkl 1 1 0
43.6 deg, I = 100, hkl 1 1 4
44.5 deg, I = 39, hkl 0 0 8
46.6 deg, I = 26, hkl 2 0 3

Crystal structure
a b c (Å): 4.8252 4.8252 16.3202
angles (deg): 90.00 90.00 120.00
Positions (direct):
Zr (0.3333, 0.6667, 0.2500)
Zr (0.6667, 0.3333, 0.7500)
Np (0.3333, 0.6667, 0.0351)
Np (0.3333, 0.6667, 0.4649)
Np (0.6667, 0.3333, 0.5351)
Np (0.6667, 0.3333, 0.9649)
Ni (0.0000, 0.0000, 0.0000)
Ni (0.0000, 0.0000, 0.2500)
Ni (0.0000, 0.0000, 0.5000)
Ni (0.0000, 0.0000, 0.7500)
Ni (0.1664, 0.3328, 0.6274)
Ni (0.1664, 0.3328, 0.8726)
Ni (0.1664, 0.8336, 0.6274)
Ni (0.1664, 0.8336, 0.8726)
Ni (0.3328, 0.1664, 0.1274)
Ni (0.3328, 0.1664, 0.3726)
Ni (0.3333, 0.6667, 0.7500)
Ni (0.6667, 0.3333, 0.2500)
Ni (0.6672, 0.8336, 0.6274)
Ni (0.6672, 0.8336, 0.8726)
Ni (0.8336, 0.1664, 0.1274)
Ni (0.8336, 0.1664, 0.3726)
Ni (0.8336, 0.6672, 0.1274)
Ni (0.8336, 0.6672, 0.3726)